No. 1
For Ce5Dy2O13, a DFT-relaxed cell (PBE, Alexandria) gives the theoretical XRD peak list in this record (Cu Ka).

abc: 22.4207 22.4207 22.4207
angles: 9.79 9.79 9.79
Atoms (fractional coordinates):
Ce (0.0000, 0.0000, 0.0000)
Ce (0.1431, 0.1431, 0.1431)
Ce (0.2858, 0.2858, 0.2858)
Ce (0.4288, 0.4288, 0.4288)
Ce (0.7144, 0.7144, 0.7144)
Dy (0.5716, 0.5716, 0.5716)
Dy (0.8546, 0.8546, 0.8546)
O (0.0348, 0.0348, 0.0348)
O (0.1065, 0.1065, 0.1065)
O (0.1779, 0.1779, 0.1779)
O (0.2440, 0.2440, 0.2440)
O (0.3204, 0.3204, 0.3204)
O (0.3921, 0.3921, 0.3921)
O (0.4636, 0.4636, 0.4636)
O (0.5398, 0.5398, 0.5398)
O (0.6066, 0.6066, 0.6066)
O (0.6777, 0.6777, 0.6777)
O (0.7492, 0.7492, 0.7492)
O (0.8208, 0.8208, 0.8208)
O (0.9636, 0.9636, 0.9636)

Most intense lines, 10 to 80 degrees two-theta, in order of rising 2θ:
2θ/deg  I_rel
27.99  345
28.52  1000
32.90  422
46.87  349
47.55  349
55.48  149
56.08  297
56.38  148
68.98  104
76.78  120

---

No. 2
For Ce9DyO20, a DFT-relaxed cell (PBE, Alexandria) gives the theoretical XRD peak list in this record (Cu Ka).

abc: 6.6855 7.7183 8.6288
angles: 102.91 97.42 106.78
Atoms (fractional coordinates):
Ce (0.0000, 0.0000, 0.0000)
Ce (0.1994, 0.8986, 0.3982)
Ce (0.1997, 0.4002, 0.3980)
Ce (0.3973, 0.7986, 0.8007)
Ce (0.4002, 0.3012, 0.8012)
Ce (0.5998, 0.6988, 0.1988)
Ce (0.6027, 0.2014, 0.1993)
Ce (0.8003, 0.5998, 0.6020)
Ce (0.8006, 0.1014, 0.6018)
Dy (0.0000, 0.5000, 0.0000)
O (0.0503, 0.2226, 0.8485)
O (0.0497, 0.7267, 0.8489)
O (0.1488, 0.6740, 0.5492)
O (0.1498, 0.1751, 0.5486)
O (0.2522, 0.1253, 0.2494)
O (0.2523, 0.6261, 0.2514)
O (0.3511, 0.0751, 0.9505)
O (0.3520, 0.5755, 0.9492)
O (0.4485, 0.0239, 0.6497)
O (0.4488, 0.5251, 0.6494)
O (0.5512, 0.4749, 0.3506)
O (0.5515, 0.9761, 0.3503)
O (0.6480, 0.4245, 0.0508)
O (0.6489, 0.9249, 0.0495)
O (0.7477, 0.3739, 0.7486)
O (0.7478, 0.8747, 0.7506)
O (0.8502, 0.8249, 0.4514)
O (0.8512, 0.3260, 0.4508)
O (0.9503, 0.2733, 0.1511)
O (0.9497, 0.7774, 0.1515)

Most intense lines, 10 to 80 degrees two-theta, in order of rising 2θ:
2θ/deg  I_rel
28.32  1000
32.82  294
47.09  545
55.87  446
58.59  85
68.80  82
76.00  179
78.35  116

---

No. 3
For Rb3Ce3DyO8, a DFT-relaxed cell (PBE, Alexandria) gives the theoretical XRD peak list in this record (Cu Ka).

abc: 7.8322 7.8322 7.8322
angles: 54.72 54.72 54.72
Atoms (fractional coordinates):
Rb (0.0000, 0.5000, 0.5000)
Rb (0.5000, 0.0000, 0.5000)
Rb (0.5000, 0.5000, 0.0000)
Ce (0.0000, 0.0000, 0.5000)
Ce (0.0000, 0.5000, 0.0000)
Ce (0.5000, 0.0000, 0.0000)
Dy (0.5000, 0.5000, 0.5000)
O (0.2255, 0.2255, 0.2255)
O (0.2285, 0.7183, 0.7183)
O (0.2817, 0.2817, 0.7715)
O (0.2817, 0.7715, 0.2817)
O (0.7183, 0.2285, 0.7183)
O (0.7183, 0.7183, 0.2285)
O (0.7715, 0.2817, 0.2817)
O (0.7745, 0.7745, 0.7745)

Most intense lines, 10 to 80 degrees two-theta, in order of rising 2θ:
2θ/deg  I_rel
13.34  538
26.86  406
28.99  146
30.04  780
33.93  1000
46.70  339
50.72  325
54.69  208
58.32  288
62.43  163

---

No. 4
For CeDySbO2, a DFT-relaxed cell (PBE, Alexandria) gives the theoretical XRD peak list in this record (Cu Ka).

abc: 3.9307 3.9307 12.8966
angles: 90.00 90.00 90.00
Atoms (fractional coordinates):
Ce (0.0000, 0.0000, 0.0000)
Ce (0.5000, 0.5000, 0.5000)
Dy (0.0000, 0.0000, 0.3190)
Dy (0.5000, 0.5000, 0.8190)
Sb (0.0000, 0.0000, 0.6592)
Sb (0.5000, 0.5000, 0.1592)
O (0.0000, 0.5000, 0.4072)
O (0.0000, 0.5000, 0.9072)
O (0.5000, 0.0000, 0.4072)
O (0.5000, 0.0000, 0.9072)

Most intense lines, 10 to 80 degrees two-theta, in order of rising 2θ:
2θ/deg  I_rel
30.82  1000
32.21  381
42.04  88
46.19  190
53.92  226
56.56  356
64.21  102
69.87  85
75.92  75
76.66  66

---

No. 5
For Ce3DyOs, a DFT-relaxed cell (PBE, Alexandria) gives the theoretical XRD peak list in this record (Cu Ka).

abc: 7.2827 6.2643 6.2986
angles: 90.00 90.00 90.00
Atoms (fractional coordinates):
Ce (0.0000, 0.0937, 0.9998)
Ce (0.2376, 0.7156, 0.0000)
Ce (0.2624, 0.2844, 0.5000)
Ce (0.5000, 0.9063, 0.4998)
Ce (0.7376, 0.2844, 0.5000)
Ce (0.7624, 0.7156, 0.0000)
Dy (0.0000, 0.8029, 0.4933)
Dy (0.5000, 0.1971, 0.9933)
Os (0.0000, 0.4506, 0.7635)
Os (0.5000, 0.5494, 0.2635)

Most intense lines, 10 to 80 degrees two-theta, in order of rising 2θ:
2θ/deg  I_rel
18.63  209
23.46  244
28.34  185
31.78  1000
31.91  205
34.26  150
40.53  320
40.62  195
52.38  195
58.61  134

---

No. 6
For Ce4DyP5, a DFT-relaxed cell (PBE, Alexandria) gives the theoretical XRD peak list in this record (Cu Ka).

abc: 7.0560 7.0560 7.0560
angles: 99.60 99.60 131.80
Atoms (fractional coordinates):
Ce (0.0994, 0.2995, 0.3989)
Ce (0.2995, 0.9006, 0.2001)
Ce (0.7005, 0.0994, 0.7999)
Ce (0.9006, 0.7005, 0.6011)
Dy (0.5000, 0.5000, 0.0000)
P (0.0000, 0.0000, 0.0000)
P (0.2018, 0.5998, 0.8016)
P (0.4002, 0.2018, 0.6020)
P (0.5998, 0.7982, 0.3980)
P (0.7982, 0.4002, 0.1984)

Most intense lines, 10 to 80 degrees two-theta, in order of rising 2θ:
2θ/deg  I_rel
26.80  794
31.04  1000
44.48  729
52.69  387
55.23  255
64.72  118
71.36  155
73.51  326